Entry 1:
Structure and calculated powder diffractogram of Na4ZrZnSi2SO12 (a GGA-PBE-relaxed structure; λ = 1.5418 Å (Cu Kα)).
Neutral-atom scattering factors, no anomalous dispersion.

Cell and atoms:
```
data_Na4ZrZnSi2SO12
_chemical_formula_sum 'Na16 Zr4 Zn4 Si8 S4 O48'
_space_group_name_H-M_alt 'C 1 c 1'
_space_group_IT_number 9
_cell_length_a 15.969
_cell_length_b 9.244
_cell_length_c 9.135
_cell_angle_alpha 90.00
_cell_angle_beta 124.57
_cell_angle_gamma 90.00
loop_
_space_group_symop_operation_xyz
'x,y,z'
'x,-y,z+1/2'
'x+1/2,y+1/2,z'
'x+1/2,-y+1/2,z+1/2'
loop_
_atom_site_label
_atom_site_type_symbol
_atom_site_fract_x
_atom_site_fract_y
_atom_site_fract_z
Na1 Na 0.000 0.061 0.000
Na2 Na 0.068 0.261 0.385
Na3 Na 0.131 0.431 0.769
Na4 Na 0.350 0.119 0.665
Zr1 Zr 0.234 0.264 0.250
Zn1 Zn 0.432 0.250 0.047
Si1 Si 0.339 0.451 0.646
Si2 Si 0.482 0.102 0.434
S1 S 0.187 0.100 0.847
O1 O 0.075 0.310 0.115
O2 O 0.100 0.165 0.683
O3 O 0.182 0.061 0.327
O4 O 0.185 0.129 0.006
O5 O 0.253 0.350 0.472
O6 O 0.262 0.443 0.169
O7 O 0.281 0.159 0.872
O8 O 0.375 0.172 0.398
O9 O 0.409 0.450 0.110
O10 O 0.412 0.346 0.814
O11 O 0.484 0.130 0.262
O12 O 0.491 0.072 0.969
```

Largest 12 diffraction maxima, by intensity, 2θ from 10° to 90°:
2θ/deg, I_rel, (hkl)
19.21, 100.0, 3 1 -1
33.57, 54.7, 1 3 1
30.52, 46.5, 5 1 -1
30.92, 45.7, 3 1 -3
30.75, 42.0, 4 2 -2
33.49, 28.5, 2 0 2
29.75, 25.7, 2 2 1
19.44, 24.0, 2 0 -2
27.45, 21.3, 2 2 -2
45.82, 19.2, 6 2 0
46.16, 16.7, 4 4 -2
46.38, 16.7, 2 2 -4

=====

Entry 2:
Structure and calculated powder diffractogram of GdSe (a GGA-PBE-relaxed structure; λ = 1.5418 Å (Cu Kα)).
Neutral-atom scattering factors, no anomalous dispersion.

Cell and atoms:
```
data_GdSe
_chemical_formula_sum 'Gd4 Se4'
_space_group_name_H-M_alt 'F m -3 m'
_space_group_IT_number 225
_space_group_name_Hall '-F 4 2 3'
_cell_length_a 5.868
_cell_length_b 5.868
_cell_length_c 5.868
_cell_angle_alpha 90.00
_cell_angle_beta 90.00
_cell_angle_gamma 90.00
loop_
_atom_site_label
_atom_site_type_symbol
_atom_site_fract_x
_atom_site_fract_y
_atom_site_fract_z
Gd1 Gd 0.000 0.000 0.000
Se1 Se 0.000 0.000 0.500
```

Largest 10 diffraction maxima, by intensity, 2θ from 10° to 90°:
2θ/deg, I_rel, (hkl)
30.47, 100.0, 2 0 0
43.62, 74.5, 2 2 0
71.96, 33.6, 4 2 0
54.14, 26.2, 2 2 2
80.12, 25.2, 4 2 2
26.30, 19.4, 1 1 1
63.40, 12.2, 4 0 0
51.66, 9.7, 3 1 1
69.87, 3.9, 3 3 1
86.10, 3.1, 5 1 1

=====

Entry 3:
Structure and calculated powder diffractogram of CsAlZnF6 (a GGA-PBE-relaxed structure; λ = 1.5418 Å (Cu Kα)).
Neutral-atom scattering factors, no anomalous dispersion.

Cell and atoms:
```
data_CsAlZnF6
_chemical_formula_sum 'Cs4 Al4 Zn4 F24'
_space_group_name_H-M_alt 'P n m a'
_space_group_IT_number 62
_cell_length_a 7.272
_cell_length_b 7.212
_cell_length_c 10.255
_cell_angle_alpha 90.00
_cell_angle_beta 90.00
_cell_angle_gamma 90.00
loop_
_space_group_symop_operation_xyz
'x,y,z'
'-x,-y,-z'
'-x+1/2,-y,z+1/2'
'x+1/2,y,-z+1/2'
'x+1/2,-y+1/2,-z+1/2'
'-x+1/2,y+1/2,z+1/2'
'-x,y+1/2,-z'
'x,-y+1/2,z'
loop_
_atom_site_label
_atom_site_type_symbol
_atom_site_fract_x
_atom_site_fract_y
_atom_site_fract_z
Cs1 Cs 0.015 0.250 0.127
Al1 Al 0.000 0.000 0.500
Zn1 Zn 0.222 0.250 0.762
F1 F 0.037 0.250 0.461
F2 F 0.037 0.750 0.168
F3 F 0.142 0.022 0.645
F4 F 0.204 0.554 0.404
```

Largest 12 diffraction maxima, by intensity, 2θ from 10° to 90°:
2θ/deg, I_rel, (hkl)
28.86, 100.0, 0 1 3
24.56, 44.3, 1 1 2
28.98, 37.9, 1 2 1
50.37, 26.6, 2 2 4
46.15, 23.0, 0 3 3
24.69, 16.8, 0 2 0
38.34, 16.7, 1 2 3
45.92, 14.1, 3 0 3
56.75, 13.4, 4 2 0
43.16, 13.3, 2 0 4
70.56, 10.5, 1 2 7
50.63, 10.3, 0 4 0

=====

Entry 4:
Structure and calculated powder diffractogram of UZn20Fe2 (a GGA-PBE-relaxed structure; λ = 1.5418 Å (Cu Kα)).
Neutral-atom scattering factors, no anomalous dispersion.

Cell and atoms:
Unit cell a=14.080 b=14.080 c=14.080 alpha=90.00 beta=90.00 gamma=90.00
Space group Fd-3m (No. 227, origin choice 2)
Symmetry-distinct sites (fractional):
U  0.125  0.125  0.125
Zn  0.000  0.000  0.000
Zn  0.011  0.375  0.875
Zn  0.059  0.059  0.326
Fe  0.000  0.000  0.500

Largest 12 diffraction maxima, by intensity, 2θ from 10° to 90°:
2θ/deg, I_rel, (hkl)
37.80, 100.0, 5 3 1
42.08, 64.3, 5 3 3
42.59, 48.7, 6 2 2
40.52, 44.2, 6 2 0
76.55, 32.6, 8 8 0
55.37, 29.9, 6 6 0
66.02, 18.2, 9 3 3
80.41, 16.6, 11 3 3
77.61, 16.4, 9 5 5
20.93, 15.7, 3 1 1
67.89, 15.0, 10 2 0
17.82, 14.7, 2 2 0

=====

Entry 5:
Structure and calculated powder diffractogram of MnAsRu (a GGA-PBE-relaxed structure; λ = 1.5418 Å (Cu Kα)).
Neutral-atom scattering factors, no anomalous dispersion.

Cell and atoms:
```
data_MnAsRu
_chemical_formula_sum 'Mn3 As3 Ru3'
_space_group_name_H-M_alt 'P -6 2 m'
_space_group_IT_number 189
_space_group_name_Hall 'P -6 -2'
_cell_length_a 6.5493
_cell_length_b 6.5493
_cell_length_c 3.6102
_cell_angle_alpha 90.00
_cell_angle_beta 90.00
_cell_angle_gamma 120.00
loop_
_atom_site_label
_atom_site_type_symbol
_atom_site_fract_x
_atom_site_fract_y
_atom_site_fract_z
Mn1 Mn 0.0000 0.5958 0.0000
As1 As 0.0000 0.0000 0.0000
As2 As 0.3333 0.6667 0.5000
Ru1 Ru 0.0000 0.2577 0.5000
```

Largest 12 diffraction maxima, by intensity, 2θ from 10° to 90°:
2θ/deg, I_rel, (hkl)
37.06, 100.0, 1 1 1
40.45, 87.2, 2 0 1
49.45, 54.5, 2 1 1
42.15, 52.1, 2 1 0
48.13, 41.8, 3 0 0
78.07, 33.3, 3 2 1
50.56, 30.1, 0 0 2
67.88, 23.9, 2 1 2
72.38, 23.8, 3 0 2
24.66, 20.7, 0 0 1
15.62, 12.4, 1 0 0
27.23, 12.3, 1 1 0